For LiVO2F2, DFT lattice parameters and positions (GGA+U) gives the computed powder X-ray diffraction pattern in this record (Cu Kα X-rays).
No peak broadening, texture or thermal motion is included.

Largest 10 diffraction maxima, by angle, 2θ = 10–80°:
(0 1 0), d = 5.512 Å, 2θ = 16.08°, intensity 690; (1 0 0), d = 4.725 Å, 2θ = 18.78°, intensity 867; (1 1 0), d = 3.587 Å, 2θ = 24.82°, intensity 1000; (0 1 1), d = 3.565 Å, 2θ = 24.98°, intensity 656; (1 1 -1), d = 3.526 Å, 2θ = 25.26°, intensity 373; (1 0 -2), d = 2.656 Å, 2θ = 33.75°, intensity 187; (2 0 -2), d = 2.294 Å, 2θ = 39.27°, intensity 436; (1 2 1), d = 1.942 Å, 2θ = 46.79°, intensity 707; (3 1 -2), d = 1.665 Å, 2θ = 55.17°, intensity 235; (1 2 -3), d = 1.475 Å, 2θ = 63.00°, intensity 174

Atomic structure:
```
12
Lattice="5.3710 0.0000 0.0000 0.0000 5.5120 0.0000 -2.5263 0.0000 4.6742" Properties=species:S:1:pos:R:3 pbc="T T T"
Li -0.6316 0.5052 1.1685
Li -1.8947 5.0068 3.5056
V 2.0539 2.2199 1.1685
V 0.7908 3.2921 3.5056
O 0.4163 2.1369 2.2128
O -0.8469 3.3751 4.5499
O 3.6916 2.1369 0.1243
O 2.4285 3.3751 2.4614
F 1.1283 0.7944 0.2467
F -0.1349 4.7176 2.5838
F 2.9796 0.7944 2.0904
F 1.7164 4.7176 4.4275
```